# Pa2SbPd7
Calculated powder diffraction line list, Cu Kα (weighted mean of Kα1 and Kα2). Input: a GGA-PBE-relaxed structure.

Top 8 peaks for 10 to 90 degrees two-theta, by intensity:
39.89°, rel. 1000; 20.57°, rel. 542; 42.99°, rel. 450; 24.73°, rel. 370; 41.84°, rel. 358; 24.28°, rel. 290; 35.15°, rel. 230; 76.30°, rel. 223

Crystal structure
Cell: 8.0026 8.0026 4.3180 Å, 90.00 90.00 125.46°
Element x y z (fractional)
Pa  0.1936  0.8064  0.0000
Pa  0.8064  0.1936  0.0000
Sb  0.5000  0.5000  0.5000
Pd  0.0000  0.0000  0.0000
Pd  0.2048  0.4183  0.0000
Pd  0.3096  0.6904  0.5000
Pd  0.4183  0.2048  0.0000
Pd  0.5817  0.7952  0.0000
Pd  0.6904  0.3096  0.5000
Pd  0.7952  0.5817  0.0000


# Ca3GaHg5
Calculated powder diffraction line list, Cu Kα (weighted mean of Kα1 and Kα2). Input: a GGA-PBE-relaxed structure.

Top 8 peaks for 10 to 90 degrees two-theta, by intensity:
34.62°, rel. 1000; 33.70°, rel. 910; 23.97°, rel. 531; 49.09°, rel. 337; 32.96°, rel. 283; 60.87°, rel. 251; 69.65°, rel. 223; 22.28°, rel. 136

Crystal structure
Cell: 9.2130 9.2130 6.2672 Å, 90.00 90.00 120.00°
Element x y z (fractional)
Ca  0.0000  0.3660  0.2500
Ca  0.0000  0.6340  0.7500
Ca  0.3660  0.0000  0.2500
Ca  0.3660  0.3660  0.7500
Ca  0.6340  0.0000  0.7500
Ca  0.6340  0.6340  0.2500
Ga  0.0000  0.0000  0.0000
Ga  0.0000  0.0000  0.5000
Hg  0.0000  0.2887  0.7500
Hg  0.0000  0.7113  0.2500
Hg  0.2887  0.0000  0.7500
Hg  0.2887  0.2887  0.2500
Hg  0.3333  0.6667  0.0000
Hg  0.3333  0.6667  0.5000
Hg  0.6667  0.3333  0.0000
Hg  0.6667  0.3333  0.5000
Hg  0.7113  0.0000  0.2500
Hg  0.7113  0.7113  0.7500


# InMoRu
Calculated powder diffraction line list, Cu Kα (weighted mean of Kα1 and Kα2). Input: a GGA-PBE-relaxed structure.

Top 8 peaks for 10 to 90 degrees two-theta, by intensity:
39.97°, rel. 1000; 37.21°, rel. 312; 39.12°, rel. 253; 68.94°, rel. 191; 55.09°, rel. 181; 71.46°, rel. 150; 86.24°, rel. 101; 73.16°, rel. 82

Crystal structure
Cell: 3.0630 4.8333 13.8156 Å, 90.00 90.00 90.00°
Element x y z (fractional)
In  0.0000  0.0000  0.0000
In  0.0000  0.5000  0.5000
In  0.5000  0.0000  0.5000
In  0.5000  0.5000  0.0000
Mo  0.0000  0.0000  0.6794
Mo  0.0000  0.5000  0.1794
Mo  0.5000  0.0000  0.1794
Mo  0.5000  0.5000  0.6794
Ru  0.0000  0.0000  0.3294
Ru  0.0000  0.5000  0.8294
Ru  0.5000  0.0000  0.8294
Ru  0.5000  0.5000  0.3294


# DyTmTh6
Calculated powder diffraction line list, Cu Kα (weighted mean of Kα1 and Kα2). Input: a GGA-PBE-relaxed structure.

Top 8 peaks for 10 to 90 degrees two-theta, by intensity:
32.72°, rel. 1000; 29.84°, rel. 635; 54.83°, rel. 477; 42.71°, rel. 244; 60.14°, rel. 180; 87.39°, rel. 135; 68.58°, rel. 123; 70.31°, rel. 115

Crystal structure
Cell: 5.9877 5.9877 14.3470 Å, 90.00 90.00 90.00°
Element x y z (fractional)
Dy  0.0000  0.0000  0.0000
Dy  0.5000  0.5000  0.5000
Tm  0.0000  0.0000  0.5000
Tm  0.5000  0.5000  0.0000
Th  0.0000  0.0000  0.2501
Th  0.0000  0.0000  0.7499
Th  0.0000  0.5000  0.1272
Th  0.0000  0.5000  0.3728
Th  0.0000  0.5000  0.6272
Th  0.0000  0.5000  0.8728
Th  0.5000  0.0000  0.1272
Th  0.5000  0.0000  0.3728
Th  0.5000  0.0000  0.6272
Th  0.5000  0.0000  0.8728
Th  0.5000  0.5000  0.2499
Th  0.5000  0.5000  0.7501